For AcCoNO, the GGA+U geometry in OQMD gives the theoretical XRD peak list in this record (Cu Kα (weighted mean of Kα1 and Kα2)).

Largest 8 diffraction maxima, low angle first, 10 to 80 degrees two-theta:
(0 2 0), 2θ = 24.56°, d 3.624, rel. 25; (1 1 1), 2θ = 25.17°, d 3.538, rel. 100; (2 0 0), 2θ = 28.74°, d 3.106, rel. 29; (1 2 1), 2θ = 33.16°, d 2.702, rel. 42; (2 0 1), 2θ = 33.36°, d 2.686, rel. 31; (0 0 2), 2θ = 33.51°, d 2.674, rel. 41; (1 3 1), 2θ = 43.61°, d 2.075, rel. 35; (2 0 2), 2θ = 44.72°, d 2.027, rel. 19

Atomic structure:
abc: 6.2120 7.2481 5.3483
angles: 90.00 90.00 90.00
Positions (direct):
Ac: 0.0509 0.2044 0.0000
Ac: 0.4491 0.2044 0.5000
Ac: 0.5509 0.7956 0.0000
Ac: 0.9491 0.7956 0.5000
Co: 0.1076 0.6036 0.0027
Co: 0.3924 0.6036 0.5027
Co: 0.6076 0.3964 0.0027
Co: 0.8924 0.3964 0.5027
N: 0.1530 0.4965 0.6861
N: 0.3470 0.4965 0.1861
N: 0.6530 0.5035 0.6861
N: 0.8470 0.5035 0.1861
O: 0.0519 0.1313 0.4829
O: 0.4481 0.1313 0.9829
O: 0.5519 0.8687 0.4829
O: 0.9481 0.8687 0.9829